# 1
Diffraction record for Nb6ReRh. The powder diffraction line list is computed, not measured: it uses a crystal structure in Alexandria, relaxed with PBE and Cu Kα (weighted mean of Kα1 and Kα2).
Peak positions follow from Bragg's law for the DFT cell and can differ from measured ones.

Atomic structure:
```
data_Nb6ReRh
_cell_length_a 4.6082
_cell_length_b 4.6082
_cell_length_c 13.0578
_cell_angle_alpha 90.00
_cell_angle_beta 90.00
_cell_angle_gamma 90.00
_space_group_name_H-M_alt 'I 4/m m m'
_space_group_IT_number 139
_space_group_name_Hall '-I 4 2'
loop_
_atom_site_label
_atom_site_type_symbol
_atom_site_fract_x
_atom_site_fract_y
_atom_site_fract_z
_atom_site_occupancy
Nb1 Nb 0.0000 0.0000 0.2489 1
Nb2 Nb 0.0000 0.5000 0.1222 1
Re1 Re 0.0000 0.0000 0.0000 1
Rh1 Rh 0.0000 0.0000 0.5000 1
```

The 8 most intense peaks (10° ≤ 2θ ≤ 80°), sorted by position:
d [Å], intensity
6.529, 3
4.346, 3
3.261, 2
2.916, 1
2.306, 100
1.632, 6
1.629, 11
1.331, 34


# 2
Diffraction record for TaNbReRh. The powder diffraction line list is computed, not measured: it uses a crystal structure in Alexandria, relaxed with PBE and Cu Kα (weighted mean of Kα1 and Kα2).
Peak positions follow from Bragg's law for the DFT cell and can differ from measured ones.

Atomic structure:
```
data_TaNbReRh
_cell_length_a 6.4052
_cell_length_b 6.4052
_cell_length_c 6.4052
_cell_angle_alpha 90.00
_cell_angle_beta 90.00
_cell_angle_gamma 90.00
_space_group_name_H-M_alt 'F -4 3 m'
_space_group_IT_number 216
_space_group_name_Hall 'F -4 2 3'
loop_
_atom_site_label
_atom_site_type_symbol
_atom_site_fract_x
_atom_site_fract_y
_atom_site_fract_z
_atom_site_occupancy
Ta1 Ta 0.0000 0.0000 0.0000 1
Nb1 Nb 0.0000 0.0000 0.5000 1
Re1 Re 0.2500 0.2500 0.7500 1
Rh1 Rh 0.2500 0.2500 0.2500 1
```

The 7 most intense peaks (10° ≤ 2θ ≤ 80°), sorted by position:
d [Å], intensity
3.698, 10
2.265, 100
1.931, 5
1.601, 17
1.469, 2
1.307, 34
1.233, 2


# 3
Diffraction record for Nb5ReRu4. The powder diffraction line list is computed, not measured: it uses a crystal structure in Alexandria, relaxed with PBE and Cu Kα (weighted mean of Kα1 and Kα2).
Peak positions follow from Bragg's law for the DFT cell and can differ from measured ones.

Atomic structure:
```
data_Nb5ReRu4
_cell_length_a 3.1118
_cell_length_b 3.1118
_cell_length_c 16.7720
_cell_angle_alpha 90.00
_cell_angle_beta 90.00
_cell_angle_gamma 90.00
_space_group_name_H-M_alt 'P 4/m m m'
_space_group_IT_number 123
_space_group_name_Hall '-P 4 2'
loop_
_atom_site_label
_atom_site_type_symbol
_atom_site_fract_x
_atom_site_fract_y
_atom_site_fract_z
_atom_site_occupancy
Nb1 Nb 0.0000 0.0000 0.0000 1
Nb2 Nb 0.0000 0.0000 0.2024 1
Nb3 Nb 0.0000 0.0000 0.4036 1
Re1 Re 0.5000 0.5000 0.5000 1
Ru1 Ru 0.5000 0.5000 0.1096 1
Ru2 Ru 0.5000 0.5000 0.3030 1
```

The 8 most intense peaks (10° ≤ 2θ ≤ 80°), sorted by position:
d [Å], intensity
5.591, 3
2.281, 100
2.200, 46
2.080, 2
1.677, 9
1.556, 15
1.334, 16
1.285, 31